Record 1
This entry pairs a crystal structure of Ce2InGa with its computed powder diffractogram. Radiation: copper Kα. Structure: the PBE geometry in Alexandria.

The 10 most intense peaks (15° ≤ 2θ ≤ 90°), in order of rising 2θ:
| Position (°2θ) | I (rel.) | h k l |
| --- | --- | --- |
| 20.5 | 2 | 1 1 1 |
| 23.7 | 4 | 2 0 0 |
| 33.7 | 100 | 2 2 0 |
| 39.8 | 1 | 3 1 1 |
| 41.6 | 1 | 2 2 2 |
| 48.4 | 18 | 4 0 0 |
| 54.6 | 2 | 4 2 0 |
| 60.3 | 37 | 4 2 2 |
| 70.9 | 11 | 4 4 0 |
| 80.9 | 16 | 6 2 0 |

Atomic structure:
```
Ce2InGa
1.0
7.5182 0.0000 0.0000
0.0000 7.5182 0.0000
0.0000 0.0000 7.5182
Ce In Ga
8 4 4
Cartesian
1.8795 1.8795 1.8795
1.8795 1.8795 5.6386
1.8795 5.6386 1.8795
1.8795 5.6386 5.6386
5.6386 1.8795 1.8795
5.6386 1.8795 5.6386
5.6386 5.6386 1.8795
5.6386 5.6386 5.6386
0.0000 0.0000 0.0000
0.0000 3.7591 3.7591
3.7591 0.0000 3.7591
3.7591 3.7591 0.0000
0.0000 0.0000 3.7591
0.0000 3.7591 0.0000
3.7591 0.0000 0.0000
3.7591 3.7591 3.7591
```

Record 2
This entry pairs a crystal structure of Cs2RbTlHg2 with its computed powder diffractogram. Radiation: copper Kα. Structure: the PBE geometry in Alexandria.

The 10 most intense peaks (15° ≤ 2θ ≤ 90°), in order of rising 2θ:
| Position (°2θ) | I (rel.) | h k l |
| --- | --- | --- |
| 16.7 | 24 | 1 1 0 |
| 24.5 | 51 | 1 2 1 |
| 25.8 | 52 | 1 1 2 |
| 27.8 | 37 | 0 3 1 |
| 28.9 | 65 | 2 0 0 |
| 29.9 | 100 | 1 2 2 |
| 34.0 | 50 | 1 1 3 |
| 39.2 | 31 | 1 4 1 |
| 40.5 | 32 | 2 3 1 |
| 51.8 | 23 | 3 2 2 |

Atomic structure:
```
Cs2RbTlHg2
1.0
6.1806 0.0000 0.0000
0.0000 10.3023 0.0000
0.0000 0.0000 9.1284
Cs Rb Tl Hg
4 2 2 4
Cartesian
0.0000 1.3946 0.0000
0.0000 8.9078 4.5642
3.0903 1.8102 5.7463
3.0903 8.4922 1.1821
0.0000 4.9498 6.1929
0.0000 5.3526 1.6288
3.0903 3.0220 2.1692
3.0903 7.2804 6.7333
0.0000 2.3108 3.5865
0.0000 7.9915 8.1506
3.0903 4.6200 8.5942
3.0903 5.6824 4.0300
```

Record 3
This entry pairs a crystal structure of YScPbSe with its computed powder diffractogram. Radiation: copper Kα. Structure: the PBE geometry in Alexandria.

The 10 most intense peaks (15° ≤ 2θ ≤ 90°), in order of rising 2θ:
| Position (°2θ) | I (rel.) | h k l |
| --- | --- | --- |
| 21.4 | 20 | 0 0 6 |
| 27.8 | 27 | 1 0 1 |
| 28.5 | 72 | 0 1 2 |
| 31.1 | 39 | 1 0 4 |
| 33.0 | 100 | 0 1 5 |
| 37.5 | 76 | 1 0 7 |
| 48.7 | 49 | 1 1 0 |
| 49.1 | 20 | 0 1 11 |
| 60.1 | 18 | 2 0 5 |
| 67.4 | 27 | 1 1 12 |

Atomic structure:
```
YScPbSe
1.0
3.7409 0.0000 0.0000
-1.8704 3.2397 0.0000
0.0000 0.0000 24.9213
Y Sc Pb Se
3 3 3 3
Cartesian
0.0000 0.0000 0.0000
0.0000 2.1598 16.6142
1.8704 1.0799 8.3071
0.0000 0.0000 3.6080
0.0000 2.1598 20.2222
1.8704 1.0799 11.9151
0.0000 0.0000 14.1498
0.0000 2.1598 5.8427
1.8704 1.0799 22.4570
0.0000 0.0000 18.5608
0.0000 2.1598 10.2537
1.8704 1.0799 1.9466
```